[1]
For PmHoAgRu, a structure optimized by DFT (GGA-PBE) gives the simulated powder XRD pattern in this record (a wavelength of 1.5418 Å).

Structure:
abc: 3.4508 3.4508 7.6057
angles: 90.00 90.00 90.00
Fractional positions:
1 Pm 0.0000 0.0000 0.0000
2 Ho 0.0000 0.0000 0.5545
3 Ag 0.5000 0.5000 0.2927
4 Ru 0.5000 0.5000 0.7675

Top 10 peaks for 10° ≤ 2θ ≤ 80°, in order of falling intensity:
two_theta  d_spacing  intensity
35.12  2.556  100
36.83  2.440  48
65.25  1.430  32
53.08  1.725  16
61.86  1.500  15
74.22  1.278  9
47.84  1.901  8
44.34  2.043  5
78.38  1.220  5
11.64  7.606  4

=====

[2]
For PmHoAg2S4, a structure optimized by DFT (GGA-PBE) gives the simulated powder XRD pattern in this record (a wavelength of 1.5418 Å).

Structure:
abc: 6.5327 4.0790 7.0528
angles: 90.00 110.50 90.00
Fractional positions:
1 Pm 0.0000 0.0000 0.0000
2 Ho 0.0000 0.5000 0.5000
3 Ag 0.5000 0.0000 0.5000
4 Ag 0.5000 0.5000 0.0000
5 S 0.2424 0.0000 0.7387
6 S 0.2446 0.5000 0.2529
7 S 0.7554 0.5000 0.7471
8 S 0.7576 0.0000 0.2613

Top 10 peaks for 10° ≤ 2θ ≤ 80°, in order of falling intensity:
two_theta  d_spacing  intensity
31.90  2.806  100
44.46  2.038  58
27.10  3.290  54
32.17  2.782  49
47.36  1.920  32
26.99  3.303  27
29.19  3.060  22
55.90  1.645  19
73.86  1.283  16
47.02  1.932  16

=====

Q: Number 2 is which compound?
A: PmHoAg2S4

=====

Q: Number 1 is which compound?
A: PmHoAgRu